No. 1
Calculated XRD peak list of Er3Be2Pd5 for λ = 1.5418 Å (Cu Kα), from DFT lattice parameters and positions (GGA-PBE).

Main lines, low angle first (2θ from 10° to 90°):
d = 2.777 Å, 32.24 deg, intensity 81
d = 2.490 Å, 36.08 deg, intensity 43
d = 2.362 Å, 38.09 deg, intensity 61
d = 2.341 Å, 38.45 deg, intensity 100
d = 2.178 Å, 41.46 deg, intensity 35
d = 2.162 Å, 41.79 deg, intensity 23
d = 1.802 Å, 50.66 deg, intensity 24
d = 1.515 Å, 61.15 deg, intensity 16
d = 1.480 Å, 62.78 deg, intensity 20
d = 1.433 Å, 65.11 deg, intensity 25

Crystal structure
Lattice parameters (Å, degrees): 9.740 9.740 3.604 90.00 90.00 90.00
Fractional coordinates of all 20 atoms:
Er: 0.000 0.000 0.000
Er: 0.177 0.323 0.000
Er: 0.323 0.823 0.000
Er: 0.500 0.500 0.000
Er: 0.677 0.177 0.000
Er: 0.823 0.677 0.000
Be: 0.116 0.616 0.000
Be: 0.384 0.116 0.000
Be: 0.616 0.884 0.000
Be: 0.884 0.384 0.000
Pd: 0.000 0.500 0.500
Pd: 0.071 0.777 0.500
Pd: 0.223 0.071 0.500
Pd: 0.277 0.571 0.500
Pd: 0.429 0.277 0.500
Pd: 0.500 0.000 0.500
Pd: 0.571 0.723 0.500
Pd: 0.723 0.429 0.500
Pd: 0.777 0.929 0.500
Pd: 0.929 0.223 0.500

=====

No. 2
Calculated XRD peak list of ErBe9Pd2 for λ = 1.5418 Å (Cu Kα), from DFT lattice parameters and positions (GGA-PBE).

Main lines, low angle first (2θ from 10° to 90°):
d = 3.900 Å, 22.80 deg, intensity 53
d = 3.763 Å, 23.64 deg, intensity 100
d = 3.586 Å, 24.83 deg, intensity 30
d = 2.640 Å, 33.96 deg, intensity 22
d = 2.311 Å, 38.98 deg, intensity 91
d = 2.251 Å, 40.05 deg, intensity 60
d = 1.932 Å, 47.03 deg, intensity 22
d = 1.907 Å, 47.70 deg, intensity 44
d = 1.613 Å, 57.12 deg, intensity 26
d = 1.311 Å, 72.04 deg, intensity 29

Crystal structure
Lattice parameters (Å, degrees): 4.503 4.503 14.343 90.00 90.00 120.00
Fractional coordinates of all 24 atoms:
Er: 0.333 0.667 0.250
Er: 0.667 0.333 0.750
Be: 0.000 0.000 0.000
Be: 0.000 0.000 0.250
Be: 0.000 0.000 0.500
Be: 0.000 0.000 0.750
Be: 0.168 0.336 0.619
Be: 0.168 0.336 0.881
Be: 0.168 0.832 0.619
Be: 0.168 0.832 0.881
Be: 0.333 0.667 0.750
Be: 0.336 0.168 0.119
Be: 0.336 0.168 0.381
Be: 0.664 0.832 0.619
Be: 0.664 0.832 0.881
Be: 0.667 0.333 0.250
Be: 0.832 0.168 0.119
Be: 0.832 0.168 0.381
Be: 0.832 0.664 0.119
Be: 0.832 0.664 0.381
Pd: 0.333 0.667 0.042
Pd: 0.333 0.667 0.458
Pd: 0.667 0.333 0.542
Pd: 0.667 0.333 0.958

=====

No. 3
Calculated XRD peak list of Er4BePd3 for λ = 1.5418 Å (Cu Kα), from DFT lattice parameters and positions (GGA-PBE).

Main lines, low angle first (2θ from 10° to 90°):
d = 3.372 Å, 26.43 deg, intensity 26
d = 2.744 Å, 32.63 deg, intensity 100
d = 2.637 Å, 34.00 deg, intensity 28
d = 2.559 Å, 35.07 deg, intensity 33
d = 2.260 Å, 39.89 deg, intensity 18
d = 2.210 Å, 40.83 deg, intensity 48
d = 2.193 Å, 41.16 deg, intensity 28
d = 1.866 Å, 48.80 deg, intensity 17
d = 1.665 Å, 55.15 deg, intensity 18
d = 1.632 Å, 56.37 deg, intensity 15

Crystal structure
Lattice parameters (Å, degrees): 3.732 4.386 10.546 90.00 90.00 90.00
Fractional coordinates of all 8 atoms:
Er: 0.000 0.000 0.000
Er: 0.000 0.500 0.277
Er: 0.500 0.000 0.496
Er: 0.500 0.500 0.779
Be: 0.500 0.000 0.207
Pd: 0.000 0.000 0.727
Pd: 0.000 0.500 0.552
Pd: 0.500 0.500 0.072

=====

No. 4
Calculated XRD peak list of Er2Be6Pt9 for λ = 1.5418 Å (Cu Kα), from DFT lattice parameters and positions (GGA-PBE).

Main lines, low angle first (2θ from 10° to 90°):
d = 3.387 Å, 26.31 deg, intensity 39
d = 2.760 Å, 32.44 deg, intensity 53
d = 2.381 Å, 37.78 deg, intensity 100
d = 2.135 Å, 42.34 deg, intensity 29
d = 1.948 Å, 46.63 deg, intensity 56
d = 1.589 Å, 58.03 deg, intensity 21
d = 1.380 Å, 67.92 deg, intensity 33
d = 1.375 Å, 68.22 deg, intensity 19
d = 1.274 Å, 74.49 deg, intensity 13
d = 1.191 Å, 80.71 deg, intensity 11

Crystal structure
Lattice parameters (Å, degrees): 5.499 5.499 10.161 90.00 90.00 120.00
Fractional coordinates of all 17 atoms:
Er: 0.000 0.000 0.190
Er: 0.000 0.000 0.810
Be: 0.333 0.667 0.166
Be: 0.333 0.667 0.500
Be: 0.333 0.667 0.834
Be: 0.667 0.333 0.166
Be: 0.667 0.333 0.500
Be: 0.667 0.333 0.834
Pt: 0.000 0.500 0.000
Pt: 0.000 0.500 0.333
Pt: 0.000 0.500 0.667
Pt: 0.500 0.000 0.000
Pt: 0.500 0.000 0.333
Pt: 0.500 0.000 0.667
Pt: 0.500 0.500 0.000
Pt: 0.500 0.500 0.333
Pt: 0.500 0.500 0.667

=====

No. 5
Calculated XRD peak list of Er3Be5Pt6 for λ = 1.5418 Å (Cu Kα), from DFT lattice parameters and positions (GGA-PBE).

Main lines, low angle first (2θ from 10° to 90°):
d = 3.011 Å, 29.67 deg, intensity 24
d = 2.964 Å, 30.15 deg, intensity 23
d = 2.699 Å, 33.19 deg, intensity 73
d = 2.401 Å, 37.46 deg, intensity 54
d = 2.389 Å, 37.65 deg, intensity 100
d = 2.366 Å, 38.04 deg, intensity 24
d = 2.207 Å, 40.88 deg, intensity 38
d = 2.047 Å, 44.26 deg, intensity 48
d = 1.963 Å, 46.25 deg, intensity 43
d = 1.520 Å, 60.97 deg, intensity 28

Crystal structure
Lattice parameters (Å, degrees): 3.926 12.276 8.893 90.00 90.00 90.00
Fractional coordinates of all 28 atoms:
Er: 0.250 0.052 0.249
Er: 0.250 0.448 0.249
Er: 0.250 0.750 0.258
Er: 0.750 0.250 0.742
Er: 0.750 0.552 0.751
Er: 0.750 0.948 0.751
Be: 0.250 0.095 0.873
Be: 0.250 0.405 0.873
Be: 0.250 0.632 0.539
Be: 0.250 0.750 0.806
Be: 0.250 0.868 0.539
Be: 0.750 0.132 0.461
Be: 0.750 0.250 0.194
Be: 0.750 0.368 0.461
Be: 0.750 0.595 0.127
Be: 0.750 0.905 0.127
Pt: 0.250 0.069 0.600
Pt: 0.250 0.250 0.031
Pt: 0.250 0.250 0.404
Pt: 0.250 0.431 0.600
Pt: 0.250 0.587 0.988
Pt: 0.250 0.913 0.988
Pt: 0.750 0.087 0.012
Pt: 0.750 0.413 0.012
Pt: 0.750 0.569 0.400
Pt: 0.750 0.750 0.596
Pt: 0.750 0.750 0.969
Pt: 0.750 0.931 0.400

=====

No. 6
Calculated XRD peak list of Er2BeSi2 for λ = 1.5418 Å (Cu Kα), from DFT lattice parameters and positions (GGA-PBE).

Main lines, low angle first (2θ from 10° to 90°):
d = 3.586 Å, 24.83 deg, intensity 77
d = 3.281 Å, 27.18 deg, intensity 52
d = 3.101 Å, 28.79 deg, intensity 45
d = 2.633 Å, 34.05 deg, intensity 84
d = 2.593 Å, 34.60 deg, intensity 100
d = 2.283 Å, 39.46 deg, intensity 24
d = 2.050 Å, 44.18 deg, intensity 24
d = 1.964 Å, 46.22 deg, intensity 23
d = 1.694 Å, 54.13 deg, intensity 16
d = 1.655 Å, 55.54 deg, intensity 17

Crystal structure
Lattice parameters (Å, degrees): 5.562 5.562 10.124 113.80 113.80 41.36
Fractional coordinates of all 10 atoms:
Er: 0.105 0.105 0.403
Er: 0.294 0.294 0.854
Er: 0.706 0.706 0.146
Er: 0.895 0.895 0.597
Be: 0.439 0.439 0.188
Be: 0.561 0.561 0.812
Si: 0.038 0.038 0.907
Si: 0.381 0.381 0.380
Si: 0.619 0.619 0.620
Si: 0.962 0.962 0.093